Record 1
Diffraction record for Ge3W5. The powder diffraction line list is computed, not measured: it uses a PBE-relaxed structure and Cu Kα X-rays.

Atomic structure:
```
Ge3W5
1.0
-4.9521 4.9521 2.5296
4.9521 -4.9521 2.5296
4.9521 4.9521 -2.5296
Ge W
6 10
direct
0.1696 0.6696 0.8392
0.2500 0.2500 0.0000
0.3304 0.1696 0.5000
0.6696 0.8304 0.5000
0.7500 0.7500 0.0000
0.8304 0.3304 0.1608
0.0744 0.2308 0.3051
0.2308 0.9256 0.1564
0.2500 0.7500 0.5000
0.2692 0.4256 0.6949
0.4256 0.7308 0.1564
0.5744 0.2692 0.8436
0.7308 0.5744 0.3051
0.7500 0.2500 0.5000
0.7692 0.0744 0.8436
0.9256 0.7692 0.6949
```

Most intense lines, 2θ from 10° to 80°, sorted by position:
Position (°2θ)  I (rel.)
26.75  21
35.49  26
36.28  21
37.25  58
40.02  43
40.74  63
41.62  100
44.17  58
67.79  22
67.91  24
79.39  16
79.86  14

Record 2
Diffraction record for Ge2W. The powder diffraction line list is computed, not measured: it uses a PBE-relaxed structure and Cu Kα X-rays.

Atomic structure:
```
Ge2W
1.0
3.3421 0.0000 0.0000
0.0000 3.3421 0.0000
0.0000 0.0000 8.2930
Ge W
4 2
direct
0.0000 0.0000 0.1627
0.0000 0.0000 0.8373
0.5000 0.5000 0.3373
0.5000 0.5000 0.6627
0.0000 0.0000 0.5000
0.5000 0.5000 0.0000
```

Most intense lines, 2θ from 10° to 80°, sorted by position:
Position (°2θ)  I (rel.)
21.43  16
28.80  27
38.08  68
42.44  100
44.11  10
54.95  23
59.29  3
59.65  4
62.52  5
63.21  6
67.80  6
71.80  42